1.
Calculated X-ray powder pattern of LiSm6Ga5 for CuKα, from a structure optimized by DFT (GGA-PBE).
Neutral-atom scattering factors, no anomalous dispersion.

Principal peaks in the range 2θ = 10–90°, most intense first:
- 34.7°, I = 100
- 34.6°, I = 25
- 34.4°, I = 25
- 24.2°, I = 22
- 62.1°, I = 18
- 62.4°, I = 18
- 49.6°, I = 18
- 61.9°, I = 18
- 83.2°, I = 12
- 73.3°, I = 11

Crystal structure
a b c (Å): 8.233 8.233 7.267
angles (deg): 90.00 90.00 143.28
Element x y z (fractional)
Li 0.000 0.000 0.000
Sm 0.170 0.830 0.250
Sm 0.170 0.830 0.750
Sm 0.500 0.500 0.257
Sm 0.500 0.500 0.743
Sm 0.830 0.170 0.250
Sm 0.830 0.170 0.750
Ga 0.000 0.000 0.500
Ga 0.335 0.665 0.500
Ga 0.344 0.656 0.000
Ga 0.656 0.344 0.000
Ga 0.665 0.335 0.500

---

2.
Calculated X-ray powder pattern of Pr8SiS3Cl4 for CuKα, from a structure optimized by DFT (GGA-PBE).
Neutral-atom scattering factors, no anomalous dispersion.

Principal peaks in the range 2θ = 10–90°, most intense first:
- 30.1°, I = 100
- 26.2°, I = 54
- 43.5°, I = 38
- 42.8°, I = 29
- 53.8°, I = 19
- 71.6°, I = 16
- 25.6°, I = 15
- 51.2°, I = 14
- 79.4°, I = 9
- 62.7°, I = 9

Crystal structure
a b c (Å): 8.452 8.452 8.452
angles (deg): 58.97 58.97 58.97
Element x y z (fractional)
Pr 0.234 0.741 0.741
Pr 0.236 0.236 0.236
Pr 0.259 0.259 0.766
Pr 0.259 0.766 0.259
Pr 0.741 0.234 0.741
Pr 0.741 0.741 0.234
Pr 0.764 0.764 0.764
Pr 0.766 0.259 0.259
Si 0.500 0.500 0.500
S 0.000 0.000 0.500
S 0.000 0.500 0.000
S 0.500 0.000 0.000
Cl 0.000 0.000 0.000
Cl 0.000 0.500 0.500
Cl 0.500 0.000 0.500
Cl 0.500 0.500 0.000

---

3.
Calculated X-ray powder pattern of CaBr for CuKα, from a structure optimized by DFT (GGA-PBE).
Neutral-atom scattering factors, no anomalous dispersion.

Principal peaks in the range 2θ = 10–90°, most intense first:
- 30.1°, I = 100
- 33.5°, I = 60
- 18.5°, I = 50
- 44.7°, I = 34
- 38.6°, I = 29
- 57.8°, I = 28
- 25.3°, I = 24
- 48.2°, I = 20
- 67.9°, I = 12
- 67.7°, I = 12

Crystal structure
a b c (Å): 3.778 3.778 9.613
angles (deg): 90.00 90.13 90.00
Element x y z (fractional)
Ca 0.249 0.250 0.338
Ca 0.751 0.750 0.662
Br 0.252 0.250 0.815
Br 0.748 0.750 0.185

---

4.
Calculated X-ray powder pattern of TmUTe2N for CuKα, from a structure optimized by DFT (GGA-PBE).
Neutral-atom scattering factors, no anomalous dispersion.

Principal peaks in the range 2θ = 10–90°, most intense first:
- 31.3°, I = 100
- 36.1°, I = 73
- 27.8°, I = 54
- 44.8°, I = 41
- 58.9°, I = 36
- 38.9°, I = 23
- 11.2°, I = 22
- 31.7°, I = 21
- 22.5°, I = 19
- 53.6°, I = 18

Crystal structure
a b c (Å): 4.042 4.042 15.783
angles (deg): 90.00 90.00 90.00
Element x y z (fractional)
Tm 0.250 0.250 0.133
Tm 0.750 0.750 0.867
U 0.250 0.250 0.569
U 0.750 0.750 0.431
Te 0.250 0.250 0.317
Te 0.250 0.250 0.918
Te 0.750 0.750 0.082
Te 0.750 0.750 0.683
N 0.250 0.750 0.500
N 0.750 0.250 0.500

---

5.
Calculated X-ray powder pattern of Cs4Pr3NpO8 for CuKα, from a structure optimized by DFT (GGA-PBE).
Neutral-atom scattering factors, no anomalous dispersion.

Principal peaks in the range 2θ = 10–90°, most intense first:
- 32.7°, I = 100
- 29.1°, I = 91
- 25.6°, I = 47
- 44.7°, I = 37
- 56.2°, I = 33
- 49.1°, I = 33
- 52.2°, I = 24
- 60.2°, I = 17
- 74.7°, I = 14
- 81.3°, I = 14

Crystal structure
a b c (Å): 8.184 8.184 8.184
angles (deg): 53.93 53.93 53.93
Element x y z (fractional)
Cs 0.000 0.000 0.000
Cs 0.000 0.500 0.500
Cs 0.500 0.000 0.500
Cs 0.500 0.500 0.000
Pr 0.000 0.000 0.500
Pr 0.000 0.500 0.000
Pr 0.500 0.000 0.000
Np 0.500 0.500 0.500
O 0.221 0.221 0.221
O 0.238 0.713 0.713
O 0.287 0.287 0.762
O 0.287 0.762 0.287
O 0.713 0.238 0.713
O 0.713 0.713 0.238
O 0.762 0.287 0.287
O 0.779 0.779 0.779

---

6.
Calculated X-ray powder pattern of Na4Te2ClO5 for CuKα, from a structure optimized by DFT (GGA-PBE).
Neutral-atom scattering factors, no anomalous dispersion.

Principal peaks in the range 2θ = 10–90°, most intense first:
- 12.3°, I = 100
- 29.9°, I = 96
- 27.1°, I = 94
- 16.4°, I = 55
- 20.6°, I = 55
- 50.1°, I = 40
- 24.8°, I = 28
- 37.0°, I = 28
- 52.3°, I = 25
- 31.9°, I = 24

Crystal structure
a b c (Å): 7.187 6.608 6.608
angles (deg): 125.06 90.00 90.00
Element x y z (fractional)
Na 0.000 0.155 0.845
Na 0.000 0.845 0.155
Na 0.289 0.586 0.586
Na 0.711 0.586 0.586
Te 0.500 0.181 0.904
Te 0.500 0.904 0.181
Cl 0.000 0.325 0.325
O 0.289 0.710 0.991
O 0.289 0.991 0.710
O 0.500 0.288 0.288
O 0.711 0.710 0.991
O 0.711 0.991 0.710

---

7.
Calculated X-ray powder pattern of CaH4Pd3 for CuKα, from a structure optimized by DFT (GGA-PBE).
Neutral-atom scattering factors, no anomalous dispersion.

Principal peaks in the range 2θ = 10–90°, most intense first:
- 36.8°, I = 100
- 40.4°, I = 37
- 61.2°, I = 22
- 80.6°, I = 20
- 63.7°, I = 18
- 23.0°, I = 15
- 32.8°, I = 15
- 58.5°, I = 15
- 68.7°, I = 11
- 78.3°, I = 5

Crystal structure
a b c (Å): 5.463 5.463 5.463
angles (deg): 90.00 90.00 90.00
Element x y z (fractional)
Ca 0.000 0.000 0.000
Ca 0.500 0.500 0.500
H 0.250 0.250 0.250
H 0.250 0.250 0.750
H 0.250 0.750 0.250
H 0.250 0.750 0.750
H 0.750 0.250 0.250
H 0.750 0.250 0.750
H 0.750 0.750 0.250
H 0.750 0.750 0.750
Pd 0.000 0.250 0.500
Pd 0.000 0.750 0.500
Pd 0.250 0.500 0.000
Pd 0.500 0.000 0.250
Pd 0.500 0.000 0.750
Pd 0.750 0.500 0.000

---

8.
Calculated X-ray powder pattern of TaCr2Br for CuKα, from a structure optimized by DFT (GGA-PBE).
Neutral-atom scattering factors, no anomalous dispersion.

Principal peaks in the range 2θ = 10–90°, most intense first:
- 11.7°, I = 100
- 38.0°, I = 85
- 43.6°, I = 60
- 29.1°, I = 55
- 46.7°, I = 47
- 48.6°, I = 39
- 31.8°, I = 33
- 35.6°, I = 28
- 31.5°, I = 26
- 41.9°, I = 25

Crystal structure
a b c (Å): 3.065 3.037 7.556
angles (deg): 90.00 90.02 90.00
Element x y z (fractional)
Ta 0.000 0.000 0.000
Cr 0.000 0.000 0.612
Cr 0.500 0.500 0.783
Br 0.002 0.500 0.294

---

9.
Calculated X-ray powder pattern of RbMn2BiCl8 for CuKα, from a structure optimized by DFT (GGA-PBE).
Neutral-atom scattering factors, no anomalous dispersion.

Principal peaks in the range 2θ = 10–90°, most intense first:
- 17.8°, I = 100
- 21.8°, I = 60
- 26.8°, I = 46
- 15.6°, I = 46
- 15.7°, I = 45
- 22.3°, I = 40
- 29.0°, I = 39
- 14.0°, I = 39
- 22.4°, I = 37
- 29.8°, I = 35

Crystal structure
a b c (Å): 6.604 6.628 9.220
angles (deg): 76.35 76.82 75.92
Element x y z (fractional)
Rb 0.000 0.000 0.000
Mn 0.453 0.451 0.214
Mn 0.547 0.549 0.786
Bi 0.000 0.000 0.500
Cl 0.194 0.724 0.727
Cl 0.265 0.796 0.278
Cl 0.277 0.262 0.454
Cl 0.346 0.328 0.024
Cl 0.654 0.672 0.976
Cl 0.723 0.738 0.546
Cl 0.735 0.204 0.722
Cl 0.806 0.276 0.273

---

10.
Calculated X-ray powder pattern of LaTbPrHg for CuKα, from a structure optimized by DFT (GGA-PBE).
Neutral-atom scattering factors, no anomalous dispersion.

Principal peaks in the range 2θ = 10–90°, most intense first:
- 31.2°, I = 100
- 33.8°, I = 45
- 58.8°, I = 33
- 48.5°, I = 16
- 53.9°, I = 16
- 38.8°, I = 9
- 65.1°, I = 9
- 40.7°, I = 9
- 81.0°, I = 7
- 79.6°, I = 7

Crystal structure
a b c (Å): 3.754 3.754 8.874
angles (deg): 90.00 90.00 90.00
Element x y z (fractional)
La 0.000 0.000 0.000
Tb 0.500 0.500 0.278
Pr 0.500 0.500 0.711
Hg 0.000 0.000 0.477

---

11.
Calculated X-ray powder pattern of Tl3AgS8 for CuKα, from a structure optimized by DFT (GGA-PBE).
Neutral-atom scattering factors, no anomalous dispersion.

Principal peaks in the range 2θ = 10–90°, most intense first:
- 23.3°, I = 100
- 28.1°, I = 74
- 13.7°, I = 69
- 31.9°, I = 61
- 30.3°, I = 57
- 35.3°, I = 56
- 22.8°, I = 41
- 21.5°, I = 39
- 25.8°, I = 37
- 36.0°, I = 35

Crystal structure
a b c (Å): 7.649 7.649 7.986
angles (deg): 119.68 119.68 85.62
Element x y z (fractional)
Tl 0.000 0.000 0.000
Tl 0.643 0.357 0.000
Tl 0.839 0.161 0.500
Ag 0.211 0.789 0.500
S 0.019 0.547 0.083
S 0.185 0.334 0.030
S 0.286 0.288 0.592
S 0.341 0.011 0.417
S 0.453 0.981 0.917
S 0.666 0.815 0.970
S 0.712 0.714 0.408
S 0.989 0.659 0.583

---

12.
Calculated X-ray powder pattern of Pm3Ho2Pb2 for CuKα, from a structure optimized by DFT (GGA-PBE).
Neutral-atom scattering factors, no anomalous dispersion.

Principal peaks in the range 2θ = 10–90°, most intense first:
- 31.8°, I = 100
- 30.4°, I = 98
- 32.3°, I = 50
- 38.6°, I = 38
- 51.2°, I = 28
- 30.8°, I = 26
- 37.0°, I = 19
- 33.8°, I = 17
- 54.5°, I = 13
- 65.6°, I = 13

Crystal structure
a b c (Å): 6.231 6.231 8.516
angles (deg): 104.90 104.90 43.96
Element x y z (fractional)
Pm 0.000 0.000 0.000
Pm 0.132 0.132 0.438
Pm 0.868 0.868 0.562
Ho 0.379 0.379 0.239
Ho 0.621 0.621 0.761
Pb 0.317 0.317 0.821
Pb 0.683 0.683 0.179